Record 1
Diffraction record for Ac3CeC8. The powder diffractogram is calculated, not measured: it uses the PBE geometry in Alexandria and copper Kα.
Neutral-atom scattering factors, no anomalous dispersion.

Principal peaks in the range 10° ≤ 2θ ≤ 90°, by angle:
- 2θ 23.41, I 62, (2 2 0)
- 2θ 27.32, I 100, (2 0 2)
- 2θ 33.34, I 35, (4 0 0)
- 2θ 43.62, I 62, (2 4 2)
- 2θ 47.87, I 12, (4 4 0)
- 2θ 50.49, I 21, (2 2 4)
- 2θ 53.89, I 8, (2 6 0)
- 2θ 56.36, I 13, (0 4 4)
- 2θ 66.76, I 17, (6 4 2)
- 2θ 80.74, I 10, (4 2 6)

Cell and atoms:
```
data_Ac3CeC8
_symmetry_space_group_name_H-M 'F m m 2'
_symmetry_Int_Tables_number 42
_symmetry_space_group_name_Hall 'F 2 -2'
_cell_length_a 10.7351
_cell_length_b 10.7625
_cell_length_c 8.2201
_cell_angle_alpha 90.00
_cell_angle_beta 90.00
_cell_angle_gamma 90.00
loop_
_atom_site_label
_atom_site_type_symbol
_atom_site_fract_x
_atom_site_fract_y
_atom_site_fract_z
Ac1 Ac 0.0000 0.0000 0.0000
Ac2 Ac 0.2500 0.2500 0.2492
Ce1 Ce 0.0000 0.0000 0.4997
C1 C 0.0000 0.1590 0.2855
C2 C 0.0000 0.2403 0.8722
C3 C 0.1589 0.0000 0.7158
C4 C 0.2402 0.0000 0.1291
```

Record 2
Diffraction record for UCd2HgO6. The powder diffractogram is calculated, not measured: it uses the PBE geometry in Alexandria and copper Kα.
Neutral-atom scattering factors, no anomalous dispersion.

Principal peaks in the range 10° ≤ 2θ ≤ 90°, by angle:
- 2θ 19.48, I 31, (1 1 0)
- 2θ 20.93, I 73, (0 0 1)
- 2θ 27.69, I 100, (2 0 0)
- 2θ 28.75, I 70, (1 1 1)
- 2θ 34.97, I 46, (2 0 1)
- 2θ 39.56, I 56, (2 2 0)
- 2θ 45.17, I 38, (2 2 1)
- 2θ 47.25, I 35, (1 1 2)
- 2θ 49.63, I 32, (3 1 1)
- 2θ 63.27, I 29, (3 1 2)

Cell and atoms:
```
data_UCd2HgO6
_symmetry_space_group_name_H-M 'P 4 m m'
_symmetry_Int_Tables_number 99
_symmetry_space_group_name_Hall 'P 4 -2'
_cell_length_a 6.4435
_cell_length_b 6.4435
_cell_length_c 4.2439
_cell_angle_alpha 90.00
_cell_angle_beta 90.00
_cell_angle_gamma 90.00
loop_
_atom_site_label
_atom_site_type_symbol
_atom_site_fract_x
_atom_site_fract_y
_atom_site_fract_z
U1 U 0.0000 0.0000 0.0000
Cd1 Cd 0.0000 0.5000 0.1574
Hg1 Hg 0.5000 0.5000 0.8734
O1 O 0.0000 0.0000 0.5044
O2 O 0.2272 0.2272 0.0197
O3 O 0.5000 0.5000 0.3859
```

Record 3
Diffraction record for Cr3GaP4. The powder diffractogram is calculated, not measured: it uses the PBE geometry in Alexandria and copper Kα.
Neutral-atom scattering factors, no anomalous dispersion.

Principal peaks in the range 10° ≤ 2θ ≤ 90°, by angle:
- 2θ 23.17, I 1, (1 1 0)
- 2θ 28.47, I 100, (1 1 1)
- 2θ 32.99, I 9, (2 0 0)
- 2θ 47.35, I 61, (2 2 0)
- 2θ 56.18, I 39, (3 1 1)
- 2θ 58.92, I 2, (2 2 2)
- 2θ 69.21, I 9, (4 0 0)
- 2θ 76.47, I 15, (3 3 1)
- 2θ 78.83, I 2, (4 2 0)
- 2θ 88.14, I 19, (4 2 2)

Cell and atoms:
```
data_Cr3GaP4
_symmetry_space_group_name_H-M 'P -4 3 m'
_symmetry_Int_Tables_number 215
_symmetry_space_group_name_Hall 'P -4 2 3'
_cell_length_a 5.4298
_cell_length_b 5.4298
_cell_length_c 5.4298
_cell_angle_alpha 90.00
_cell_angle_beta 90.00
_cell_angle_gamma 90.00
loop_
_atom_site_label
_atom_site_type_symbol
_atom_site_fract_x
_atom_site_fract_y
_atom_site_fract_z
Cr1 Cr 0.0000 0.0000 0.5000
Ga1 Ga 0.5000 0.5000 0.5000
P1 P 0.2459 0.2459 0.7541
```

Record 4
Diffraction record for Na3AsF. The powder diffractogram is calculated, not measured: it uses the PBE geometry in Alexandria and copper Kα.
Neutral-atom scattering factors, no anomalous dispersion.

Principal peaks in the range 10° ≤ 2θ ≤ 90°, by angle:
- 2θ 19.63, I 64, (0 1 1)
- 2θ 20.41, I 100, (1 1 -1)
- 2θ 32.49, I 27, (3 1 -1)
- 2θ 33.58, I 30, (2 0 2)
- 2θ 35.21, I 28, (3 1 -2)
- 2θ 35.91, I 91, (1 1 -3)
- 2θ 36.98, I 30, (1 2 1)
- 2θ 38.30, I 44, (2 2 -1)
- 2θ 41.05, I 63, (4 1 -1)
- 2θ 54.21, I 28, (3 1 3)

Cell and atoms:
```
data_Na3AsF
_symmetry_space_group_name_H-M 'P 1 21/c 1'
_symmetry_Int_Tables_number 14
_symmetry_space_group_name_Hall '-P 2ybc'
_cell_length_a 9.6140
_cell_length_b 5.4615
_cell_length_c 8.4382
_cell_angle_alpha 90.00
_cell_angle_beta 107.04
_cell_angle_gamma 90.00
loop_
_atom_site_label
_atom_site_type_symbol
_atom_site_fract_x
_atom_site_fract_y
_atom_site_fract_z
Na1 Na 0.0720 0.0990 0.3699
Na2 Na 0.2069 0.5593 0.5664
Na3 Na 0.4199 0.0760 0.7905
As1 As 0.3700 0.5718 0.9275
F1 F 0.0156 0.2249 0.0971
```

Record 5
Diffraction record for TbSm2Br5. The powder diffractogram is calculated, not measured: it uses the PBE geometry in Alexandria and copper Kα.
Neutral-atom scattering factors, no anomalous dispersion.

Principal peaks in the range 10° ≤ 2θ ≤ 90°, by angle:
- 2θ 16.51, I 47, (2 1 0)
- 2θ 18.64, I 34, (1 3 0)
- 2θ 25.99, I 33, (3 2 0)
- 2θ 27.86, I 100, (0 2 2)
- 2θ 30.44, I 29, (2 1 2)
- 2θ 35.19, I 68, (1 6 0)
- 2θ 37.09, I 28, (3 5 0)
- 2θ 37.81, I 76, (2 6 0)
- 2θ 38.93, I 36, (3 3 2)
- 2θ 39.31, I 34, (1 5 2)

Cell and atoms:
```
data_TbSm2Br5
_symmetry_space_group_name_H-M 'P n n m'
_symmetry_Int_Tables_number 58
_symmetry_space_group_name_Hall '-P 2 2n'
_cell_length_a 11.4284
_cell_length_b 15.7128
_cell_length_c 7.0127
_cell_angle_alpha 90.00
_cell_angle_beta 90.00
_cell_angle_gamma 90.00
loop_
_atom_site_label
_atom_site_type_symbol
_atom_site_fract_x
_atom_site_fract_y
_atom_site_fract_z
Tb1 Tb 0.2214 0.2241 0.0000
Sm1 Sm 0.0000 0.5000 0.2500
Sm2 Sm 0.1397 0.2003 0.5000
Br1 Br 0.0354 0.3440 0.0000
Br2 Br 0.1013 0.8466 0.5000
Br3 Br 0.1409 0.3832 0.5000
Br4 Br 0.2420 0.5787 0.2501
```

Record 6
Diffraction record for Ba8InGa2. The powder diffractogram is calculated, not measured: it uses the PBE geometry in Alexandria and copper Kα.
Neutral-atom scattering factors, no anomalous dispersion.

Principal peaks in the range 10° ≤ 2θ ≤ 90°, by angle:
- 2θ 25.68, I 96, (1 1 1)
- 2θ 26.43, I 59, (1 -2 1)
- 2θ 27.01, I 43, (1 0 2)
- 2θ 29.42, I 100, (1 2 -3)
- 2θ 29.61, I 68, (2 0 -1)
- 2θ 33.58, I 17, (0 1 3)
- 2θ 44.60, I 17, (0 4 -1)
- 2θ 45.37, I 24, (2 1 2)
- 2θ 49.38, I 18, (1 2 3)
- 2θ 52.42, I 19, (3 2 -4)

Cell and atoms:
```
data_Ba8InGa2
_symmetry_space_group_name_H-M 'P 1'
_symmetry_Int_Tables_number 1
_symmetry_space_group_name_Hall 'P 1'
_cell_length_a 6.0340
_cell_length_b 8.3121
_cell_length_c 11.1172
_cell_angle_alpha 111.93
_cell_angle_beta 105.74
_cell_angle_gamma 90.00
loop_
_atom_site_label
_atom_site_type_symbol
_atom_site_fract_x
_atom_site_fract_y
_atom_site_fract_z
Ba1 Ba 0.0000 0.0000 0.0000
Ba2 Ba 0.0528 0.5131 0.1056
Ba3 Ba 0.2127 0.3009 0.4222
Ba4 Ba 0.3691 0.8301 0.7386
Ba5 Ba 0.4222 0.4227 0.8446
Ba6 Ba 0.6077 0.9217 0.2142
Ba7 Ba 0.7121 0.6038 0.4223
Ba8 Ba 0.8159 0.1301 0.6306
In1 In 0.2114 0.8865 0.4219
Ga1 Ga 0.5525 0.2650 0.1067
Ga2 Ga 0.8678 0.5804 0.7382
```